For Cs2NdAgCl6, DFT lattice parameters and positions (GGA-PBE) gives the computed PXRD pattern in this record (Cu Kα).

Crystal structure
abc: 7.8021 7.8021 7.8021
angles: 60.00 60.00 60.00
Fractional coordinates of all 10 atoms:
Cs (0.2500, 0.2500, 0.2500)
Cs (0.7500, 0.7500, 0.7500)
Nd (0.0000, 0.0000, 0.0000)
Ag (0.5000, 0.5000, 0.5000)
Cl (0.2481, 0.2481, 0.7519)
Cl (0.2481, 0.7519, 0.2481)
Cl (0.2481, 0.7519, 0.7519)
Cl (0.7519, 0.2481, 0.2481)
Cl (0.7519, 0.2481, 0.7519)
Cl (0.7519, 0.7519, 0.2481)

Principal peaks in the range 10 to 90 degrees two-theta, sorted by position:
22.80°, I = 100
32.46°, I = 56
40.03°, I = 47
46.56°, I = 39
52.45°, I = 21
57.90°, I = 13
63.05°, I = 25
72.72°, I = 12
77.35°, I = 17
86.40°, I = 13